Starting from a structure optimized by DFT (GGA-PBE), the X-ray powder pattern of Nd2Mg3CdNi2 was computed for Cu Kα, 1.54184 Å.
Kinematic intensities with the Lorentz-polarization factor, no thermal factor.

Structure:
```
data_Nd2Mg3CdNi2
_chemical_formula_sum 'Nd4 Mg6 Cd2 Ni4'
_cell_length_a 10.0718
_cell_length_b 4.1940
_cell_length_c 8.2434
_cell_angle_alpha 90.00
_cell_angle_beta 90.04
_cell_angle_gamma 90.00
_space_group_name_H-M_alt 'C 1 m 1'
_space_group_IT_number 8
_space_group_name_Hall 'C -2y'
loop_
_atom_site_label
_atom_site_type_symbol
_atom_site_fract_x
_atom_site_fract_y
_atom_site_fract_z
Nd1 Nd 0.0000 0.0000 0.0000
Nd2 Nd 0.1198 0.0000 0.4971
Mg1 Mg 0.2128 0.5000 0.8043
Mg2 Mg 0.2163 0.5000 0.1969
Mg3 Mg 0.4056 0.0000 0.6946
Cd1 Cd 0.4127 0.0000 0.3013
Ni1 Ni 0.2832 0.0000 0.9982
Ni2 Ni 0.3322 0.5000 0.5052
```

Peak list (10 most intense, 2θ = 10–90°, most intense first)
| 2θ (°) | I (rel.) | h k l |
| --- | --- | --- |
| 31.7 | 100.0 | 1 1 2 |
| 36.0 | 79.5 | 3 1 -1 |
| 37.3 | 57.8 | 4 0 1 |
| 21.6 | 32.8 | 0 0 2 |
| 58.3 | 30.9 | 4 2 1 |
| 23.0 | 26.8 | 1 1 0 |
| 43.1 | 26.6 | 0 2 0 |
| 48.0 | 23.8 | 3 1 3 |
| 34.2 | 17.2 | 3 1 0 |
| 10.7 | 16.1 | 0 0 1 |